Calculated X-ray diffraction stick pattern
Compound: NbZnNi6
Radiation: Cu Kα X-rays
Structure: the GGA-PBE geometry in Alexandria
No peak broadening, texture or thermal motion is included.

Most intense lines, 2θ from 5° to 70°, in order of rising 2θ:
Position (°2θ)	intensity
12.35	1
24.39	1
27.43	1
35.10	1
43.20	100
49.99	32
50.96	15

Atomic structure:
abc: 3.649 3.649 7.168
angles: 90.00 90.00 90.00
Fractional coordinates of all 8 atoms:
Nb: 0.000 0.000 0.000
Zn: 0.000 0.000 0.500
Ni: 0.000 0.500 0.254
Ni: 0.000 0.500 0.746
Ni: 0.500 0.000 0.254
Ni: 0.500 0.000 0.746
Ni: 0.500 0.500 0.000
Ni: 0.500 0.500 0.500